Entry 1:
This entry pairs a crystal structure of Sr2ZnCdRh with its computed X-ray diffraction stick pattern. Radiation: CuKα. Structure: DFT lattice parameters and positions (GGA-PBE).
Neutral-atom scattering factors, no anomalous dispersion.

Cell and atoms:
a = 5.7750 Å, b = 5.7750 Å, c = 4.8341 Å
α = 90.00°, β = 90.00°, γ = 90.00°
Space group P4/mmm (No. 123)
Unique sites:
Sr 0.0000 0.5000 0.0000
Zn 0.0000 0.0000 0.5000
Cd 0.5000 0.5000 0.5000
Rh 0.0000 0.0000 0.0000

Top 10 peaks for 2θ = 10–80°, sorted by position:
Position (°2θ)	I/Imax	hkl
24.01	39	1 0 1
28.62	74	1 1 1
30.97	100	2 0 0
37.20	30	0 0 2
39.56	21	2 1 1
44.37	36	2 2 0
49.16	54	2 0 2
53.65	25	3 1 1
59.24	30	2 2 2
73.31	16	4 2 0

Entry 2:
This entry pairs a crystal structure of Ta2CdRh with its computed X-ray diffraction stick pattern. Radiation: CuKα. Structure: DFT lattice parameters and positions (GGA-PBE).
Neutral-atom scattering factors, no anomalous dispersion.

Cell and atoms:
a = 3.3089 Å, b = 4.4918 Å, c = 9.3819 Å
α = 90.00°, β = 90.00°, γ = 90.00°
Space group Immm (No. 71)
Unique sites:
Ta 0.0000 0.0000 0.2354
Cd 0.0000 0.5000 0.0000
Rh 0.0000 0.5000 0.5000

Top 10 peaks for 2θ = 10–80°, sorted by position:
Position (°2θ)	I/Imax	hkl
18.92	7	0 0 2
38.38	24	0 0 4
38.88	100	1 1 2
40.15	23	0 2 0
55.55	9	2 0 0
56.75	16	0 2 4
69.54	9	2 0 4
69.73	15	1 1 6
70.73	9	2 2 0
72.11	16	1 3 2

Entry 3:
This entry pairs a crystal structure of Ta2CdRh with its computed X-ray diffraction stick pattern. Radiation: CuKα. Structure: DFT lattice parameters and positions (GGA-PBE).
Neutral-atom scattering factors, no anomalous dispersion.

Cell and atoms:
a = 2.8750 Å, b = 4.2010 Å, c = 5.7205 Å
α = 90.00°, β = 90.00°, γ = 90.00°
Space group Pmmm (No. 47)
Unique sites:
Ta 0.0000 0.0000 0.2359
Cd 0.5000 0.5000 0.5000
Rh 0.5000 0.5000 0.0000

Top 10 peaks for 2θ = 10–80°, sorted by position:
Position (°2θ)	I/Imax	hkl
21.15	12	0 1 0
37.92	100	1 1 0
38.06	97	0 1 2
43.06	35	0 2 0
44.69	62	1 0 2
63.80	42	1 2 2
64.86	10	2 0 0
75.56	26	1 3 0
77.75	24	2 1 2
78.01	22	1 1 4

Entry 4:
This entry pairs a crystal structure of Ta2CdRh with its computed X-ray diffraction stick pattern. Radiation: CuKα. Structure: DFT lattice parameters and positions (GGA-PBE).
Neutral-atom scattering factors, no anomalous dispersion.

Cell and atoms:
a = 2.9510 Å, b = 2.9510 Å, c = 8.2086 Å
α = 90.00°, β = 90.00°, γ = 90.00°
Space group P4mm (No. 99)
Unique sites:
Ta 0.0000 0.0000 0.0000
Ta 0.5000 0.5000 0.2663
Cd 0.0000 0.0000 0.5480
Rh 0.5000 0.5000 0.7971

Top 10 peaks for 2θ = 10–80°, sorted by position:
Position (°2θ)	I/Imax	hkl
10.78	12	0 0 1
32.23	7	1 0 1
37.54	100	1 0 2
43.36	36	1 1 0
44.13	13	0 0 4
63.00	12	2 0 0
63.59	17	1 1 4
65.01	6	1 0 5
75.70	26	2 1 2
76.79	7	1 0 6

Entry 5:
This entry pairs a crystal structure of Tb3Cd3Rh with its computed X-ray diffraction stick pattern. Radiation: CuKα. Structure: DFT lattice parameters and positions (GGA-PBE).
Neutral-atom scattering factors, no anomalous dispersion.

Cell and atoms:
a = 14.1633 Å, b = 14.1633 Å, c = 14.1633 Å
α = 90.00°, β = 90.00°, γ = 90.00°
Space group Fd-3m (No. 227, origin choice 2)
Unique sites:
Tb 0.0813 0.3750 0.3750
Cd 0.0000 0.0000 0.5000
Cd 0.0417 0.0417 0.7083
Rh 0.0000 0.0000 0.0000

Top 10 peaks for 2θ = 10–80°, sorted by position:
Position (°2θ)	I/Imax	hkl
30.93	41	4 2 2
32.86	100	3 3 3
35.87	92	4 4 0
42.33	17	6 2 2
49.43	18	7 3 1
55.01	38	6 6 0
56.25	11	5 5 5
65.58	18	7 7 1
68.53	14	7 7 3
68.90	12	10 2 2

Entry 6:
This entry pairs a crystal structure of TbCd11Rh with its computed X-ray diffraction stick pattern. Radiation: CuKα. Structure: DFT lattice parameters and positions (GGA-PBE).
Neutral-atom scattering factors, no anomalous dispersion.

Cell and atoms:
a = 5.6745 Å, b = 14.2857 Å, c = 7.5459 Å
α = 90.00°, β = 111.75°, γ = 90.00°
Space group C2/m (No. 12)
Unique sites:
Tb 0.0000 0.0000 0.0000
Cd 0.0000 0.5000 0.5000
Cd 0.1163 0.3974 0.2131
Cd 0.1627 0.1679 0.3570
Cd 0.2500 0.2500 0.0000
Rh 0.0000 0.0000 0.5000

Top 10 peaks for 2θ = 10–80°, sorted by position:
Position (°2θ)	I/Imax	hkl
31.05	43	1 3 1
31.16	40	1 3 -2
35.76	77	1 5 -1
35.90	99	0 4 2
36.21	43	1 1 2
36.36	100	2 2 0
36.47	65	2 2 -2
39.99	31	0 6 1
40.62	89	2 4 -1
65.00	33	2 6 -4

Entry 7:
This entry pairs a crystal structure of Tb5CdRh2 with its computed X-ray diffraction stick pattern. Radiation: CuKα. Structure: DFT lattice parameters and positions (GGA-PBE).
Neutral-atom scattering factors, no anomalous dispersion.

Cell and atoms:
a = 7.8110 Å, b = 7.8110 Å, c = 13.4804 Å
α = 90.00°, β = 90.00°, γ = 90.00°
Space group I4/mcm (No. 140)
Unique sites:
Tb 0.0000 0.0000 0.0000
Tb 0.1602 0.3398 0.1349
Cd 0.0000 0.0000 0.2500
Rh 0.1397 0.3603 0.5000

Top 10 peaks for 2θ = 10–80°, sorted by position:
Position (°2θ)	I/Imax	hkl
31.09	21	1 1 4
32.46	100	2 1 3
35.17	28	2 0 4
36.37	55	3 1 0
42.34	22	2 1 5
52.40	20	4 2 0
54.43	15	0 0 8
57.00	15	3 3 4
67.26	16	3 1 8
67.90	18	4 4 0

Entry 8:
This entry pairs a crystal structure of TbCd4Rh2 with its computed X-ray diffraction stick pattern. Radiation: CuKα. Structure: DFT lattice parameters and positions (GGA-PBE).
Neutral-atom scattering factors, no anomalous dispersion.

Cell and atoms:
a = 4.1904 Å, b = 16.9828 Å, c = 4.1789 Å
α = 90.00°, β = 90.00°, γ = 90.00°
Space group Cmmm (No. 65)
Unique sites:
Tb 0.0000 0.0000 0.0000
Cd 0.0000 0.1782 0.5000
Cd 0.0000 0.3236 0.0000
Rh 0.0000 0.4279 0.5000

Top 10 peaks for 2θ = 10–80°, sorted by position:
Position (°2θ)	I/Imax	hkl
31.61	11	0 6 0
33.98	11	1 5 0
34.19	100	1 3 1
38.41	11	0 6 1
40.43	15	1 5 1
43.15	28	2 0 0
43.30	21	0 0 2
62.79	18	2 0 2
73.40	10	3 3 1
73.58	10	1 3 3

Entry 9:
This entry pairs a crystal structure of Cd2TcRh with its computed X-ray diffraction stick pattern. Radiation: CuKα. Structure: DFT lattice parameters and positions (GGA-PBE).
Neutral-atom scattering factors, no anomalous dispersion.

Cell and atoms:
a = 2.8900 Å, b = 2.8900 Å, c = 8.3416 Å
α = 90.00°, β = 90.00°, γ = 90.00°
Space group P4mm (No. 99)
Unique sites:
Cd 0.0000 0.0000 0.0000
Cd 0.5000 0.5000 0.3015
Tc 0.5000 0.5000 0.7449
Rh 0.0000 0.0000 0.5504

Top 10 peaks for 2θ = 10–80°, sorted by position:
Position (°2θ)	I/Imax	hkl
10.61	5	0 0 1
32.19	6	0 0 3
37.87	100	1 0 2
43.39	12	0 0 4
44.33	36	1 1 0
45.26	6	1 0 3
55.83	5	1 1 3
63.76	14	1 1 4
64.49	18	2 0 0
77.28	23	2 1 2

Entry 10:
This entry pairs a crystal structure of ThCd3Rh4 with its computed X-ray diffraction stick pattern. Radiation: CuKα. Structure: DFT lattice parameters and positions (GGA-PBE).
Neutral-atom scattering factors, no anomalous dispersion.

Cell and atoms:
a = 4.6632 Å, b = 4.6632 Å, c = 6.6639 Å
α = 90.00°, β = 90.00°, γ = 90.00°
Space group P4/mmm (No. 123)
Unique sites:
Th 0.0000 0.0000 0.0000
Cd 0.0000 0.0000 0.5000
Cd 0.5000 0.5000 0.0000
Cd 0.5000 0.5000 0.5000
Rh 0.0000 0.5000 0.2563

Top 10 peaks for 2θ = 10–80°, sorted by position:
Position (°2θ)	I/Imax	hkl
19.03	3	1 0 0
23.28	4	1 0 1
27.04	3	1 1 0
30.24	3	1 1 1
38.41	100	1 1 2
38.62	49	2 0 0
55.13	9	0 0 4
55.76	17	2 2 0
69.32	17	2 0 4
69.74	34	3 1 2

Entry 11:
This entry pairs a crystal structure of Th4Cd5Rh2 with its computed X-ray diffraction stick pattern. Radiation: CuKα. Structure: DFT lattice parameters and positions (GGA-PBE).
Neutral-atom scattering factors, no anomalous dispersion.

Cell and atoms:
a = 7.8444 Å, b = 3.7653 Å, c = 9.7333 Å
α = 90.00°, β = 93.98°, γ = 90.00°
Space group P2/m (No. 10)
Unique sites:
Th 0.1688 0.0000 0.3502
Th 0.2212 0.0000 0.9434
Cd 0.1862 0.5000 0.6474
Cd 0.4580 0.5000 0.1798
Cd 0.5000 0.5000 0.5000
Rh 0.0777 0.5000 0.1411

Top 10 peaks for 2θ = 10–80°, sorted by position:
Position (°2θ)	I/Imax	hkl
30.61	35	1 0 3
31.72	95	1 1 -2
32.65	100	1 1 2
33.02	77	2 1 0
34.38	53	3 0 0
34.74	80	2 0 -3
36.61	62	0 1 3
37.21	95	2 0 3
38.03	34	1 0 -4
48.35	44	0 2 0

Entry 12:
This entry pairs a crystal structure of Tm4CdRh3 with its computed X-ray diffraction stick pattern. Radiation: CuKα. Structure: DFT lattice parameters and positions (GGA-PBE).
Neutral-atom scattering factors, no anomalous dispersion.

Cell and atoms:
a = 4.8248 Å, b = 4.8248 Å, c = 7.0849 Å
α = 90.00°, β = 90.00°, γ = 90.00°
Space group P4/mmm (No. 123)
Unique sites:
Tm 0.0000 0.5000 0.2364
Cd 0.0000 0.0000 0.5000
Rh 0.0000 0.0000 0.0000
Rh 0.5000 0.5000 0.0000
Rh 0.5000 0.5000 0.5000

Top 10 peaks for 2θ = 10–80°, sorted by position:
Position (°2θ)	I/Imax	hkl
25.14	3	0 0 2
26.12	6	1 1 0
36.57	100	1 1 2
37.27	48	2 0 0
51.60	9	0 0 4
53.74	17	2 2 0
65.36	17	2 0 4
66.75	34	3 1 2
77.72	10	2 2 4
79.45	5	4 0 0

Entry 13:
This entry pairs a crystal structure of Tm3Cd3Rh with its computed X-ray diffraction stick pattern. Radiation: CuKα. Structure: DFT lattice parameters and positions (GGA-PBE).
Neutral-atom scattering factors, no anomalous dispersion.

Cell and atoms:
a = 13.9747 Å, b = 13.9747 Å, c = 13.9747 Å
α = 90.00°, β = 90.00°, γ = 90.00°
Space group Fd-3m (No. 227, origin choice 2)
Unique sites:
Tm 0.0804 0.3750 0.3750
Cd 0.0000 0.0000 0.5000
Cd 0.0404 0.0404 0.7096
Rh 0.0000 0.0000 0.0000

Top 10 peaks for 2θ = 10–80°, sorted by position:
Position (°2θ)	I/Imax	hkl
31.36	43	4 2 2
33.31	100	3 3 3
36.37	90	4 4 0
42.93	14	6 2 2
50.14	20	7 3 1
55.82	38	6 6 0
57.08	11	5 5 5
66.58	17	9 3 3
69.59	15	7 7 3
69.96	10	10 2 2